Diffraction record for Na3SiTe3. The powder diffractogram is computed, not measured: it uses a PBE-relaxed structure and a wavelength of 1.5418 Å.
Neutral-atom scattering factors, no anomalous dispersion.

Structure:
```
Na3SiTe3
1.0
8.893 0.000 0.000
0.000 12.897 0.000
-4.561 0.000 7.780
Na Si Te
12 4 12
Direct
0.006 0.152 0.021 Na
0.006 0.348 0.521 Na
0.226 0.058 0.527 Na
0.226 0.442 0.027 Na
0.471 0.729 0.224 Na
0.471 0.771 0.724 Na
0.529 0.229 0.276 Na
0.529 0.271 0.776 Na
0.774 0.558 0.973 Na
0.774 0.942 0.473 Na
0.994 0.652 0.479 Na
0.994 0.848 0.979 Na
0.353 0.009 0.968 Si
0.353 0.491 0.468 Si
0.647 0.509 0.532 Si
0.647 0.991 0.032 Si
0.165 0.623 0.241 Te
0.165 0.877 0.741 Te
0.250 0.193 0.864 Te
0.250 0.307 0.364 Te
0.349 0.525 0.742 Te
0.349 0.975 0.242 Te
0.651 0.025 0.758 Te
0.651 0.475 0.258 Te
0.750 0.693 0.636 Te
0.750 0.807 0.136 Te
0.835 0.123 0.259 Te
0.835 0.377 0.759 Te
```

Main lines, low angle first (5 to 70 degrees two-theta):
21.14°, I = 71, (2 1 -1); 22.87°, I = 46, (0 0 2); 23.19°, I = 35, (2 0 0); 23.68°, I = 100, (1 3 -1); 23.90°, I = 31, (0 1 2); 28.87°, I = 75, (1 3 1); 30.04°, I = 48, (1 4 0); 31.11°, I = 54, (2 1 -3); 31.56°, I = 38, (2 1 1); 33.69°, I = 34, (3 2 -2)

---

Diffraction record for HfNbB2. The powder diffractogram is computed, not measured: it uses a PBE-relaxed structure and a wavelength of 1.5418 Å.
Neutral-atom scattering factors, no anomalous dispersion.

Structure:
```
HfNbB2
1.0
3.179 0.000 0.000
0.000 3.400 0.000
0.000 0.000 9.075
Hf Nb B
2 2 4
Direct
0.000 0.000 0.000 Hf
0.000 0.500 0.500 Hf
0.500 0.000 0.712 Nb
0.500 0.500 0.212 Nb
0.000 0.000 0.294 B
0.000 0.500 0.794 B
0.500 0.000 0.403 B
0.500 0.500 0.903 B
```

Main lines, low angle first (5 to 70 degrees two-theta):
19.56°, I = 24, (0 0 2); 28.03°, I = 77, (0 1 1); 34.45°, I = 98, (1 0 2); 39.73°, I = 30, (0 0 4); 39.89°, I = 67, (0 1 3); 40.08°, I = 100, (1 1 1); 49.49°, I = 23, (1 1 3); 53.94°, I = 17, (0 2 0); 65.25°, I = 30, (1 1 5); 65.61°, I = 44, (1 2 2)

---

Diffraction record for LaDyMg2. The powder diffractogram is computed, not measured: it uses a PBE-relaxed structure and a wavelength of 1.5418 Å.
Neutral-atom scattering factors, no anomalous dispersion.

Structure:
```
LaDyMg2
1.0
7.749 0.000 0.000
0.000 7.749 0.000
0.000 0.000 7.749
La Dy Mg
4 4 8
Direct
0.000 0.000 0.000 La
0.000 0.500 0.500 La
0.500 0.000 0.500 La
0.500 0.500 0.000 La
0.000 0.000 0.500 Dy
0.000 0.500 0.000 Dy
0.500 0.000 0.000 Dy
0.500 0.500 0.500 Dy
0.250 0.250 0.250 Mg
0.250 0.250 0.750 Mg
0.250 0.750 0.250 Mg
0.250 0.750 0.750 Mg
0.750 0.250 0.250 Mg
0.750 0.250 0.750 Mg
0.750 0.750 0.250 Mg
0.750 0.750 0.750 Mg
```

Main lines, low angle first (5 to 70 degrees two-theta):
19.85°, I = 1, (1 1 1); 22.95°, I = 60, (2 0 0); 32.69°, I = 100, (2 2 0); 38.53°, I = 1, (3 1 1); 40.32°, I = 19, (2 2 2); 46.90°, I = 18, (4 0 0); 52.84°, I = 26, (4 2 0); 58.34°, I = 38, (4 2 2); 68.50°, I = 12, (4 4 0)

---

Diffraction record for Co3B. The powder diffractogram is computed, not measured: it uses a PBE-relaxed structure and a wavelength of 1.5418 Å.
Neutral-atom scattering factors, no anomalous dispersion.

Structure:
```
Co3B
1.0
5.151 0.000 0.000
0.000 6.619 0.000
0.000 0.000 4.408
Co B
12 4
Direct
0.024 0.250 0.134 Co
0.184 0.059 0.650 Co
0.184 0.441 0.650 Co
0.316 0.559 0.150 Co
0.316 0.941 0.150 Co
0.476 0.750 0.634 Co
0.524 0.250 0.366 Co
0.684 0.059 0.850 Co
0.684 0.441 0.850 Co
0.816 0.559 0.350 Co
0.816 0.941 0.350 Co
0.976 0.750 0.866 Co
0.120 0.750 0.438 B
0.380 0.250 0.938 B
0.620 0.750 0.062 B
0.880 0.250 0.562 B
```

Main lines, low angle first (5 to 70 degrees two-theta):
38.23°, I = 64, (1 2 1); 40.57°, I = 27, (2 0 1); 42.90°, I = 65, (2 1 1); 44.58°, I = 91, (2 2 0); 44.72°, I = 79, (1 0 2); 46.00°, I = 100, (0 3 1); 46.89°, I = 70, (1 1 2); 49.42°, I = 89, (2 2 1); 52.99°, I = 38, (1 2 2); 57.61°, I = 33, (3 0 1)

---

Diffraction record for BaO2. The powder diffractogram is computed, not measured: it uses a PBE-relaxed structure and a wavelength of 1.5418 Å.
Neutral-atom scattering factors, no anomalous dispersion.

Structure:
```
BaO2
1.0
5.825 0.000 0.000
0.000 7.684 0.000
-5.760 0.000 9.522
Ba O
8 16
Direct
0.112 0.057 0.362 Ba
0.112 0.443 0.862 Ba
0.362 0.612 0.612 Ba
0.362 0.888 0.112 Ba
0.638 0.112 0.888 Ba
0.638 0.388 0.388 Ba
0.888 0.557 0.138 Ba
0.888 0.943 0.638 Ba
0.134 0.100 0.886 O
0.134 0.400 0.386 O
0.156 0.239 0.609 O
0.156 0.261 0.109 O
0.373 0.523 0.132 O
0.373 0.977 0.632 O
0.443 0.732 0.893 O
0.443 0.768 0.393 O
0.557 0.232 0.607 O
0.557 0.268 0.107 O
0.627 0.023 0.368 O
0.627 0.477 0.868 O
0.844 0.739 0.891 O
0.844 0.761 0.391 O
0.866 0.600 0.614 O
0.866 0.900 0.114 O
```

Main lines, low angle first (5 to 70 degrees two-theta):
21.96°, I = 53, (0 1 2); 26.75°, I = 100, (1 1 1); 26.90°, I = 99, (1 1 -3); 27.82°, I = 99, (1 2 -1); 30.70°, I = 72, (2 0 -2); 37.79°, I = 55, (0 0 4); 37.96°, I = 31, (2 1 0); 38.17°, I = 31, (2 1 -4); 38.80°, I = 29, (2 2 -2); 39.97°, I = 76, (0 3 2)

---

Diffraction record for Ti2AlCr. The powder diffractogram is computed, not measured: it uses a PBE-relaxed structure and a wavelength of 1.5418 Å.
Neutral-atom scattering factors, no anomalous dispersion.

Structure:
```
Ti2AlCr
1.0
3.132 0.000 0.000
0.000 3.132 0.000
0.000 0.000 6.168
Ti Al Cr
2 1 1
Direct
0.000 0.000 0.225 Ti
0.000 0.000 0.775 Ti
0.500 0.500 0.500 Al
0.500 0.500 0.000 Cr
```

Main lines, low angle first (5 to 70 degrees two-theta):
14.36°, I = 22, (0 0 1); 28.50°, I = 1, (1 0 0); 32.05°, I = 1, (1 0 1); 40.74°, I = 54, (1 1 0); 41.07°, I = 100, (1 0 2); 43.41°, I = 5, (1 1 1); 53.30°, I = 7, (1 0 3); 58.98°, I = 16, (2 0 0); 59.99°, I = 6, (0 0 4); 61.05°, I = 1, (2 0 1)

---

Diffraction record for CsBeF3. The powder diffractogram is computed, not measured: it uses a PBE-relaxed structure and a wavelength of 1.5418 Å.
Neutral-atom scattering factors, no anomalous dispersion.

Structure:
```
CsBeF3
1.0
4.035 0.000 0.000
0.000 4.035 0.000
0.000 0.000 4.035
Cs Be F
1 1 3
Direct
0.000 0.000 0.000 Cs
0.500 0.500 0.500 Be
0.000 0.500 0.500 F
0.500 0.000 0.500 F
0.500 0.500 0.000 F
```

Main lines, low angle first (5 to 70 degrees two-theta):
22.03°, I = 94, (1 0 0); 31.35°, I = 100, (1 1 0); 38.65°, I = 93, (1 1 1); 44.93°, I = 50, (2 0 0); 50.58°, I = 43, (2 1 0); 55.80°, I = 40, (2 1 1); 65.41°, I = 30, (2 2 0); 69.94°, I = 22, (3 0 0)